BaCo2P2O8: theoretical powder XRD pattern (CuKα), based on a crystal structure in Alexandria, relaxed with GGA+U.
Peak positions follow from Bragg's law for the DFT cell and can differ from measured ones.

Largest 10 diffraction maxima, low angle first, 10° ≤ 2θ ≤ 80°:
- 21.50°, rel. 26, (1 0 -2)
- 22.34°, rel. 72, (1 0 2)
- 22.52°, rel. 35, (1 1 -1)
- 22.93°, rel. 73, (1 1 1)
- 29.24°, rel. 100, (2 1 -1)
- 32.60°, rel. 20, (3 0 0)
- 33.88°, rel. 49, (0 1 3)
- 35.49°, rel. 25, (0 2 0)
- 41.24°, rel. 20, (2 1 3)
- 46.79°, rel. 21, (3 1 -3)

Cell and atoms:
Lattice parameters (Å, degrees): 8.2492 5.0590 9.3219 90.00 92.54 90.00
Sites, in units of the cell vectors:
1 Ba 0.0000 0.0000 0.0000
2 Ba 0.0000 0.5000 0.5000
3 Co 0.3505 0.0649 0.7083
4 Co 0.3505 0.4351 0.2083
5 Co 0.6495 0.5649 0.7917
6 Co 0.6495 0.9351 0.2917
7 P 0.2648 0.5043 0.8647
8 P 0.2648 0.9957 0.3647
9 P 0.7352 0.0043 0.6353
10 P 0.7352 0.4957 0.1353
11 O 0.1411 0.1460 0.2664
12 O 0.1411 0.3540 0.7664
13 O 0.2252 0.0573 0.5229
14 O 0.2252 0.4427 0.0229
15 O 0.2600 0.6923 0.3462
16 O 0.2600 0.8077 0.8462
17 O 0.4349 0.1132 0.3255
18 O 0.4349 0.3868 0.8255
19 O 0.5651 0.6132 0.1745
20 O 0.5651 0.8868 0.6745
21 O 0.7400 0.1923 0.1538
22 O 0.7400 0.3077 0.6538
23 O 0.7748 0.5573 0.9771
24 O 0.7748 0.9427 0.4771
25 O 0.8589 0.6460 0.2336
26 O 0.8589 0.8540 0.7336